[1]
Computed PXRD pattern
Compound: Pm6PrSmHo2
Radiation: copper Kα
Structure: a PBE-relaxed structure
Neutral-atom scattering factors, no anomalous dispersion.

Structure:
Lattice parameters (Å, degrees): 8.936 8.936 9.726 93.92 93.92 117.34
Element x y z (fractional)
Pm1 0.018 0.565 0.182
Pm2 0.111 0.757 0.556
Pm3 0.243 0.889 0.944
Pm4 0.295 0.512 0.380
Pm5 0.435 0.982 0.318
Pm6 0.488 0.705 0.120
Pm7 0.512 0.295 0.880
Pm8 0.565 0.018 0.682
Pm9 0.705 0.488 0.620
Pm10 0.757 0.111 0.056
Pm11 0.889 0.243 0.444
Pm12 0.982 0.435 0.818
Pr1 0.407 0.593 0.750
Pr2 0.593 0.407 0.250
Sm1 0.030 0.970 0.250
Sm2 0.970 0.030 0.750
Ho1 0.197 0.295 0.047
Ho2 0.295 0.197 0.547
Ho3 0.705 0.803 0.453
Ho4 0.803 0.705 0.953

Largest 8 diffraction maxima, in order of rising 2θ, 2θ = 10–80°:
2θ/deg	intensity
27.56	17
28.13	43
29.93	58
30.17	48
30.86	100
31.06	38
31.87	30
33.32	39

[2]
Computed PXRD pattern
Compound: La4SiTc
Radiation: copper Kα
Structure: a PBE-relaxed structure
Neutral-atom scattering factors, no anomalous dispersion.

Structure:
Lattice parameters (Å, degrees): 8.243 8.243 6.546 107.32 107.32 111.44
Element x y z (fractional)
La1 0.055 0.697 0.916
La2 0.222 0.356 0.692
La3 0.303 0.945 0.584
La4 0.356 0.222 0.192
La5 0.644 0.778 0.808
La6 0.697 0.055 0.416
La7 0.778 0.644 0.308
La8 0.945 0.303 0.084
Si1 0.374 0.626 0.250
Si2 0.626 0.374 0.750
Tc1 0.001 0.999 0.250
Tc2 0.999 0.001 0.750

Largest 8 diffraction maxima, in order of rising 2θ, 2θ = 10–80°:
2θ/deg	intensity
12.98	64
29.66	68
30.80	89
32.88	100
34.82	45
34.88	35
36.68	52
39.64	39

[3]
Computed PXRD pattern
Compound: Pm2Mg2Si4Ni
Radiation: copper Kα
Structure: a PBE-relaxed structure
Neutral-atom scattering factors, no anomalous dispersion.

Structure:
Lattice parameters (Å, degrees): 6.191 6.191 6.191 118.52 118.52 92.58
Element x y z (fractional)
Pm1 0.250 0.750 0.500
Pm2 0.750 0.250 0.500
Mg1 0.204 0.204 0.000
Mg2 0.796 0.796 0.000
Si1 0.241 0.241 0.481
Si2 0.241 0.759 0.000
Si3 0.759 0.241 0.000
Si4 0.759 0.759 0.519
Ni1 0.500 0.500 0.000

Largest 8 diffraction maxima, in order of rising 2θ, 2θ = 10–80°:
2θ/deg	intensity
19.84	38
28.20	46
28.87	100
35.28	87
40.31	55
50.33	42
59.81	30
70.03	23

[4]
Computed PXRD pattern
Compound: VAg7S6
Radiation: copper Kα
Structure: a PBE-relaxed structure
Neutral-atom scattering factors, no anomalous dispersion.

Structure:
Lattice parameters (Å, degrees): 10.664 10.664 10.664 147.75 107.01 82.06
Element x y z (fractional)
V1 0.250 0.250 0.000
V2 0.750 0.750 0.000
Ag1 0.065 0.774 0.839
Ag2 0.141 0.959 0.293
Ag3 0.166 0.459 0.818
Ag4 0.250 0.750 0.500
Ag5 0.334 0.152 0.293
Ag6 0.359 0.652 0.818
Ag7 0.435 0.274 0.709
Ag8 0.565 0.726 0.291
Ag9 0.641 0.348 0.182
Ag10 0.666 0.848 0.707
Ag11 0.750 0.250 0.500
Ag12 0.834 0.541 0.182
Ag13 0.859 0.041 0.707
Ag14 0.935 0.226 0.161
S1 0.067 0.372 0.102
S2 0.130 0.320 0.450
S3 0.230 0.128 0.695
S4 0.270 0.965 0.898
S5 0.370 0.820 0.190
S6 0.433 0.535 0.305
S7 0.567 0.465 0.695
S8 0.630 0.180 0.810
S9 0.730 0.035 0.102
S10 0.770 0.872 0.305
S11 0.870 0.680 0.550
S12 0.933 0.628 0.898

Largest 8 diffraction maxima, in order of rising 2θ, 2θ = 10–80°:
2θ/deg	intensity
11.00	43
26.23	100
32.50	27
35.25	41
37.49	26
41.72	29
44.25	42
45.63	37

[5]
Computed PXRD pattern
Compound: Ac2La6Pr
Radiation: copper Kα
Structure: a PBE-relaxed structure
Neutral-atom scattering factors, no anomalous dispersion.

Structure:
Lattice parameters (Å, degrees): 9.462 9.462 9.486 112.65 112.65 66.63
Element x y z (fractional)
Ac1 0.003 0.180 0.171
Ac2 0.180 0.003 0.671
Ac3 0.820 0.997 0.329
Ac4 0.997 0.820 0.829
La1 0.080 0.589 0.419
La2 0.177 0.348 0.007
La3 0.348 0.177 0.507
La4 0.353 0.487 0.833
La5 0.411 0.920 0.081
La6 0.487 0.353 0.333
La7 0.513 0.647 0.667
La8 0.589 0.080 0.919
La9 0.647 0.513 0.167
La10 0.652 0.823 0.493
La11 0.823 0.652 0.993
La12 0.920 0.411 0.581
Pr1 0.241 0.759 0.250
Pr2 0.759 0.241 0.750

Largest 8 diffraction maxima, in order of rising 2θ, 2θ = 10–80°:
2θ/deg	intensity
29.35	52
29.67	100
29.84	82
29.94	43
42.47	17
52.26	28
52.87	27
59.20	21

[6]
Computed PXRD pattern
Compound: NaTm3Te4
Radiation: copper Kα
Structure: a PBE-relaxed structure
Neutral-atom scattering factors, no anomalous dispersion.

Structure:
Lattice parameters (Å, degrees): 6.123 6.123 12.283 90.00 90.00 90.00
Element x y z (fractional)
Na1 0.000 0.000 0.000
Na2 0.500 0.500 0.500
Tm1 0.000 0.000 0.500
Tm2 0.000 0.500 0.250
Tm3 0.000 0.500 0.750
Tm4 0.500 0.000 0.250
Tm5 0.500 0.000 0.750
Tm6 0.500 0.500 0.000
Te1 0.000 0.000 0.251
Te2 0.000 0.000 0.749
Te3 0.000 0.500 0.000
Te4 0.000 0.500 0.500
Te5 0.500 0.000 0.000
Te6 0.500 0.000 0.500
Te7 0.500 0.500 0.249
Te8 0.500 0.500 0.751

Largest 8 diffraction maxima, in order of rising 2θ, 2θ = 10–80°:
2θ/deg	intensity
16.17	11
29.14	100
41.68	76
51.66	27
68.35	12
68.51	23
75.99	9
76.12	17

[7]
Computed PXRD pattern
Compound: Ti12Si6Os
Radiation: copper Kα
Structure: a PBE-relaxed structure
Neutral-atom scattering factors, no anomalous dispersion.

Structure:
Lattice parameters (Å, degrees): 7.196 7.196 7.196 106.64 106.64 106.64
Element x y z (fractional)
Ti1 0.056 0.182 0.472
Ti2 0.169 0.584 0.446
Ti3 0.182 0.472 0.056
Ti4 0.416 0.554 0.831
Ti5 0.446 0.169 0.584
Ti6 0.472 0.056 0.182
Ti7 0.528 0.944 0.818
Ti8 0.554 0.831 0.416
Ti9 0.584 0.446 0.169
Ti10 0.818 0.528 0.944
Ti11 0.831 0.416 0.554
Ti12 0.944 0.818 0.528
Si1 0.152 0.846 0.259
Si2 0.154 0.741 0.848
Si3 0.259 0.152 0.846
Si4 0.741 0.848 0.154
Si5 0.846 0.259 0.152
Si6 0.848 0.154 0.741
Os1 0.500 0.500 0.500

Largest 8 diffraction maxima, in order of rising 2θ, 2θ = 10–80°:
2θ/deg	intensity
14.03	82
20.85	27
28.27	24
32.32	25
36.57	40
41.39	100
42.97	38
45.89	27

[8]
Computed PXRD pattern
Compound: LaZn2CdCo
Radiation: copper Kα
Structure: a PBE-relaxed structure
Neutral-atom scattering factors, no anomalous dispersion.

Structure:
Lattice parameters (Å, degrees): 4.823 4.823 4.880 90.00 90.00 90.00
Element x y z (fractional)
La1 0.000 0.000 0.000
Zn1 0.000 0.500 0.500
Zn2 0.500 0.000 0.500
Cd1 0.500 0.500 0.000
Co1 0.000 0.000 0.500

Largest 8 diffraction maxima, in order of rising 2θ, 2θ = 10–80°:
2θ/deg	intensity
26.13	22
32.02	100
36.84	32
37.29	62
53.42	43
53.76	21
63.96	26
66.95	21

Please write out number 4 again, unchanged.
Computed PXRD pattern
Compound: VAg7S6
Radiation: copper Kα
Structure: a PBE-relaxed structure
Neutral-atom scattering factors, no anomalous dispersion.

Structure:
Lattice parameters (Å, degrees): 10.664 10.664 10.664 147.75 107.01 82.06
Element x y z (fractional)
V1 0.250 0.250 0.000
V2 0.750 0.750 0.000
Ag1 0.065 0.774 0.839
Ag2 0.141 0.959 0.293
Ag3 0.166 0.459 0.818
Ag4 0.250 0.750 0.500
Ag5 0.334 0.152 0.293
Ag6 0.359 0.652 0.818
Ag7 0.435 0.274 0.709
Ag8 0.565 0.726 0.291
Ag9 0.641 0.348 0.182
Ag10 0.666 0.848 0.707
Ag11 0.750 0.250 0.500
Ag12 0.834 0.541 0.182
Ag13 0.859 0.041 0.707
Ag14 0.935 0.226 0.161
S1 0.067 0.372 0.102
S2 0.130 0.320 0.450
S3 0.230 0.128 0.695
S4 0.270 0.965 0.898
S5 0.370 0.820 0.190
S6 0.433 0.535 0.305
S7 0.567 0.465 0.695
S8 0.630 0.180 0.810
S9 0.730 0.035 0.102
S10 0.770 0.872 0.305
S11 0.870 0.680 0.550
S12 0.933 0.628 0.898

Largest 8 diffraction maxima, in order of rising 2θ, 2θ = 10–80°:
2θ/deg	intensity
11.00	43
26.23	100
32.50	27
35.25	41
37.49	26
41.72	29
44.25	42
45.63	37